Starting from a crystal structure in the Materials Project, relaxed with GGA-PBE, the PXRD pattern of KHfMg14O15 was calculated for CuKα.
No peak broadening, texture or thermal motion is included.

Peak list (10 most intense, 2θ from 10° to 90°, in order of falling intensity)
- hkl 0 4 0, 2.171 Å, 2θ = 41.6°, I 100.0
- hkl 0 0 1, 8.687 Å, 2θ = 10.2°, I 66.1
- hkl 2 4 0, 1.552 Å, 2θ = 59.6°, I 61.4
- hkl 2 0 0, 2.219 Å, 2θ = 40.7°, I 55.1
- hkl 1 2 2, 2.525 Å, 2θ = 35.6°, I 52.7
- hkl 0 1 1, 6.142 Å, 2θ = 14.4°, I 48.2
- hkl 1 1 2, 2.923 Å, 2θ = 30.6°, I 34.7
- hkl 0 1 2, 3.885 Å, 2θ = 22.9°, I 33.3
- hkl 1 1 1, 3.597 Å, 2θ = 24.8°, I 31.7
- hkl 0 4 4, 1.535 Å, 2θ = 60.3°, I 28.7

Atomic structure:
```
KHfMg14O15
1.0
4.437 0.000 0.000
0.000 8.680 0.000
0.000 0.000 8.692
K Hf Mg O
1 1 14 15
Cartesian
0.000 0.000 0.000
0.000 4.340 4.410
0.000 0.000 4.348
0.000 2.110 6.595
0.000 2.133 2.111
0.000 4.340 0.034
0.000 6.547 2.111
0.000 6.570 6.595
2.219 0.000 2.164
2.219 0.000 6.539
2.219 2.085 4.362
2.219 2.168 8.689
2.219 4.340 2.109
2.219 4.340 6.569
2.219 6.512 8.689
2.219 6.595 4.362
0.000 0.000 2.405
0.000 0.000 6.289
0.000 2.252 4.344
0.000 2.394 8.690
0.000 4.340 2.193
0.000 6.286 8.690
0.000 6.428 4.344
2.219 0.000 0.027
2.219 0.000 4.342
2.219 2.119 6.516
2.219 2.175 2.197
2.219 4.340 0.012
2.219 4.340 4.286
2.219 6.505 2.197
2.219 6.561 6.516
```